This entry pairs a crystal structure of RbScSe2 with its simulated powder X-ray diffraction pattern. Radiation: Cu Kα. Structure: a crystal structure in Alexandria, relaxed with GGA-PBE.
Peak positions follow from Bragg's law for the DFT cell and can differ from measured ones.

Top 6 peaks for 2θ from 10° to 90°, by angle:
2θ/deg, Rel. int., (hkl)
25.28, 64, 2 2 -2
26.00, 86, 2 2 1
29.36, 69, 0 0 6
32.28, 100, 2 2 -5
37.02, 39, 4 0 -4
38.16, 55, 0 4 3

Structure:
```
data_RbScSe2
_cell_length_a 10.2973
_cell_length_b 10.2341
_cell_length_c 18.6543
_cell_angle_alpha 90.00
_cell_angle_beta 102.00
_cell_angle_gamma 90.00
_symmetry_space_group_name_H-M 'C 1 2/c 1'
_symmetry_Int_Tables_number 15
_symmetry_space_group_name_Hall '-C 2yc'
loop_
_atom_site_label
_atom_site_type_symbol
_atom_site_fract_x
_atom_site_fract_y
_atom_site_fract_z
Rb1 Rb 0.1196 0.1649 0.0786
Rb2 Rb 0.1296 0.4063 0.4099
Sc1 Sc 0.0229 0.1622 0.8320
Sc2 Sc 0.2318 0.4142 0.6873
Se1 Se 0.0000 0.0810 0.2500
Se2 Se 0.0000 0.3966 0.7500
Se3 Se 0.0679 0.2961 0.5730
Se4 Se 0.1897 0.0271 0.9271
Se5 Se 0.2384 0.1606 0.7513
```